(1)
Ba4In5: simulated XRD peak list (a wavelength of 1.5418 Å), based on a cell relaxed with PBE.
No peak broadening, texture or thermal motion is included.

Crystal structure
abc: 10.3835 10.3835 7.3628
angles: 90.00 90.00 120.00
Space group P6_3/mcm (No. 193)
Symmetry-distinct sites (fractional):
Ba 0.0000 0.0000 0.0000 x2
Ba 0.0000 0.3653 0.2500 x6
In 0.0000 0.3105 0.7500 x6
In 0.3333 0.6667 0.0000 x4

Main lines, by angle (2θ = 10–90°):
(2 1 1), 28.9°, d = 3.086 Å, I = 6.8; (3 0 0), 29.8°, d = 3.000 Å, I = 100.0; (3 0 2), 38.7°, d = 2.324 Å, I = 4.4; (2 2 2), 42.6°, d = 2.121 Å, I = 16.4; (0 0 4), 49.5°, d = 1.841 Å, I = 4.6; (3 3 0), 52.9°, d = 1.731 Å, I = 23.8; (3 0 4), 58.9°, d = 1.568 Å, I = 14.7; (6 0 0), 61.9°, d = 1.499 Å, I = 4.1; (5 2 2), 70.2°, d = 1.341 Å, I = 5.3; (3 3 4), 75.4°, d = 1.261 Å, I = 5.3

(2)
Ba5In3: simulated XRD peak list (a wavelength of 1.5418 Å), based on a cell relaxed with PBE.
No peak broadening, texture or thermal motion is included.

Crystal structure
abc: 9.285 12.218 6.040
angles: 90.00 90.00 90.00
Space group Cmmm (No. 65)
Symmetry-distinct sites (fractional):
Ba 0.000 0.000 0.000 x2
Ba 0.208 0.500 0.500 x4
Ba 0.250 0.250 0.000 x4
In 0.000 0.219 0.500 x4
In 0.000 0.500 0.000 x2

Main lines, by angle (2θ = 10–90°):
(2 2 1), 28.3°, d = 3.153 Å, I = 100.0; (0 4 0), 29.2°, d = 3.054 Å, I = 22.3; (0 0 2), 29.6°, d = 3.020 Å, I = 24.9; (4 0 0), 38.8°, d = 2.321 Å, I = 9.0; (0 4 2), 42.1°, d = 2.148 Å, I = 16.4; (4 4 0), 49.3°, d = 1.848 Å, I = 7.5; (4 0 2), 49.5°, d = 1.840 Å, I = 8.7; (2 6 1), 51.3°, d = 1.782 Å, I = 14.1; (2 2 3), 51.7°, d = 1.768 Å, I = 19.3; (4 4 2), 58.6°, d = 1.576 Å, I = 9.0

(3)
Ba5In2: simulated XRD peak list (a wavelength of 1.5418 Å), based on a cell relaxed with PBE.
No peak broadening, texture or thermal motion is included.

Crystal structure
abc: 8.859 17.963 8.199
angles: 90.00 90.00 90.00
Space group Ibam (No. 72)
Symmetry-distinct sites (fractional):
Ba 0.000 0.000 0.250 x4
Ba 0.000 0.232 0.250 x8
Ba 0.147 0.418 0.000 x8
In 0.244 0.379 0.500 x8

Main lines, by angle (2θ = 10–90°):
(1 1 2), 24.4°, d = 3.643 Å, I = 56.6; (1 5 0), 26.8°, d = 3.329 Å, I = 41.5; (2 3 1), 27.3°, d = 3.266 Å, I = 26.4; (2 4 0), 28.3°, d = 3.154 Å, I = 85.7; (0 4 2), 29.5°, d = 3.028 Å, I = 100.0; (2 0 2), 29.7°, d = 3.009 Å, I = 91.3; (3 1 0), 30.7°, d = 2.914 Å, I = 26.4; (3 2 1), 33.8°, d = 2.654 Å, I = 26.0; (3 5 2), 45.5°, d = 1.993 Å, I = 28.5; (2 4 4), 53.3°, d = 1.719 Å, I = 28.4

(4)
Ba8In: simulated XRD peak list (a wavelength of 1.5418 Å), based on a cell relaxed with PBE.
No peak broadening, texture or thermal motion is included.

Crystal structure
abc: 14.731 14.731 4.710
angles: 90.00 90.00 90.00
Space group I4/mmm (No. 139)
Symmetry-distinct sites (fractional):
Ba 0.000 0.335 0.000 x8
Ba 0.143 0.143 0.500 x8
In 0.000 0.000 0.000 x2

Main lines, by angle (2θ = 10–90°):
(3 3 0), 25.7°, d = 3.472 Å, I = 48.6; (3 0 1), 26.2°, d = 3.399 Å, I = 100.0; (5 0 1), 36.0°, d = 2.498 Å, I = 7.2; (6 0 0), 36.6°, d = 2.455 Å, I = 15.8; (0 0 2), 38.2°, d = 2.355 Å, I = 10.0; (6 3 1), 45.6°, d = 1.990 Å, I = 31.5; (3 3 2), 46.6°, d = 1.949 Å, I = 19.0; (6 0 2), 54.0°, d = 1.700 Å, I = 10.2; (3 0 3), 62.1°, d = 1.495 Å, I = 9.6; (6 3 3), 74.3°, d = 1.277 Å, I = 7.5

(5)
Ba2In17: simulated XRD peak list (a wavelength of 1.5418 Å), based on a cell relaxed with PBE.
No peak broadening, texture or thermal motion is included.

Crystal structure
abc: 10.9471 10.9471 16.2226
angles: 90.00 90.00 120.00
Space group R-3m (No. 166, hexagonal axes)
Symmetry-distinct sites (fractional):
Ba 0.0000 0.0000 0.1597 x6
In 0.0000 0.0000 0.4009 x6
In 0.0000 0.2948 0.5000 x18
In 0.0000 0.5000 0.0000 x9
In 0.0088 0.5044 0.6458 x18

Main lines, by angle (2θ = 10–90°):
(3 0 0), 28.2°, d = 3.160 Å, I = 31.9; (0 2 4), 29.0°, d = 3.082 Å, I = 33.6; (2 2 0), 32.7°, d = 2.737 Å, I = 63.7; (0 3 3), 32.8°, d = 2.728 Å, I = 100.0; (0 0 6), 33.1°, d = 2.704 Å, I = 34.1; (2 0 5), 33.5°, d = 2.677 Å, I = 32.3; (2 2 3), 36.8°, d = 2.442 Å, I = 71.2; (1 1 6), 37.1°, d = 2.424 Å, I = 17.5; (6 0 0), 58.4°, d = 1.580 Å, I = 24.7; (0 3 9), 59.0°, d = 1.566 Å, I = 21.5

(6)
Ba7In4: simulated XRD peak list (a wavelength of 1.5418 Å), based on a cell relaxed with PBE.
No peak broadening, texture or thermal motion is included.

Crystal structure
abc: 9.7951 9.7951 6.0970
angles: 90.00 90.00 120.00
Space group P-6m2 (No. 187)
Symmetry-distinct sites (fractional):
Ba 0.0000 0.0000 0.0000 x1
Ba 0.1848 0.3697 0.5000 x3
Ba 0.5317 0.0634 0.0000 x3
In 0.3333 0.6667 0.0000 x1
In 0.4519 0.2259 0.5000 x3

Main lines, by angle (2θ = 10–90°):
(1 1 1), 23.3°, d = 3.818 Å, I = 14.6; (2 0 1), 25.6°, d = 3.482 Å, I = 100.0; (2 1 0), 27.8°, d = 3.206 Å, I = 31.7; (0 0 2), 29.3°, d = 3.049 Å, I = 37.9; (2 1 1), 31.5°, d = 2.838 Å, I = 36.9; (3 0 1), 35.0°, d = 2.565 Å, I = 23.6; (2 2 0), 36.7°, d = 2.449 Å, I = 19.8; (2 1 2), 40.8°, d = 2.209 Å, I = 22.3; (2 2 2), 47.6°, d = 1.909 Å, I = 18.6; (2 0 3), 49.7°, d = 1.833 Å, I = 16.0

(7)
Ba2In5Ir4: simulated XRD peak list (a wavelength of 1.5418 Å), based on a cell relaxed with PBE.
No peak broadening, texture or thermal motion is included.

Crystal structure
abc: 13.432 6.396 8.641
angles: 90.00 124.25 90.00
Space group C2/m (No. 12)
Symmetry-distinct sites (fractional):
Ba 0.233 0.000 0.134 x4
In 0.000 0.500 0.000 x2
In 0.091 0.242 0.384 x8
Ir 0.096 0.000 0.668 x4
Ir 0.211 0.500 0.303 x4

Main lines, by angle (2θ = 10–90°):
(0 0 1), 12.4°, d = 7.142 Å, I = 44.0; (1 1 -1), 17.3°, d = 5.132 Å, I = 100.0; (3 1 -1), 24.3°, d = 3.664 Å, I = 26.8; (1 1 -2), 25.6°, d = 3.480 Å, I = 25.3; (1 1 2), 33.5°, d = 2.679 Å, I = 47.1; (2 2 -2), 35.0°, d = 2.566 Å, I = 54.2; (0 0 3), 37.8°, d = 2.382 Å, I = 30.6; (4 2 -1), 39.3°, d = 2.291 Å, I = 40.9; (6 0 -1), 43.1°, d = 2.099 Å, I = 33.7; (6 0 -4), 46.8°, d = 1.942 Å, I = 27.8

(8)
Ba2In13Ir4: simulated XRD peak list (a wavelength of 1.5418 Å), based on a cell relaxed with PBE.
No peak broadening, texture or thermal motion is included.

Crystal structure
abc: 4.501 29.342 14.003
angles: 90.00 90.00 90.00
Space group Cmc2_1 (No. 36)
Symmetry-distinct sites (fractional):
Ba 0.000 0.039 0.000 x4
Ba 0.000 0.249 0.676 x4
In 0.000 0.003 0.746 x4
In 0.000 0.116 0.501 x4
In 0.000 0.147 0.835 x4
In 0.000 0.155 0.179 x4
In 0.000 0.276 0.391 x4
In 0.000 0.284 0.984 x4
In 0.000 0.349 0.162 x4
In 0.000 0.361 0.836 x4
In 0.000 0.364 0.513 x4
In 0.000 0.428 0.321 x4
In 0.000 0.432 0.677 x4
In 0.000 0.454 0.102 x4
In 0.000 0.464 0.893 x4
Ir 0.000 0.082 0.310 x4
Ir 0.000 0.089 0.688 x4
Ir 0.000 0.186 0.369 x4
Ir 0.000 0.190 0.001 x4

Main lines, by angle (2θ = 10–90°):
(0 2 2), 14.0°, d = 6.319 Å, I = 26.5; (0 2 3), 20.0°, d = 4.448 Å, I = 28.4; (1 7 1), 29.8°, d = 2.996 Å, I = 56.9; (1 5 3), 31.5°, d = 2.836 Å, I = 99.4; (1 1 4), 32.5°, d = 2.751 Å, I = 23.4; (0 0 6), 38.6°, d = 2.334 Å, I = 24.5; (0 12 2), 39.0°, d = 2.310 Å, I = 65.9; (1 9 3), 39.2°, d = 2.297 Å, I = 100.0; (2 0 0), 40.1°, d = 2.250 Å, I = 75.6; (0 8 5), 40.5°, d = 2.225 Å, I = 30.5